No. 1
Diffraction record for Na8B13C3. The X-ray powder pattern is computed, not measured: it uses a PBE-relaxed structure and λ = 1.5418 Å (Cu Kα).
No peak broadening, texture or thermal motion is included.

Largest 6 diffraction maxima, in order of falling intensity, 2θ = 15–90°:
2θ/deg, Rel. int.
41.92, 100
39.80, 50
41.66, 38
61.95, 18
77.44, 17
36.16, 17

```
Na8B13C3
1.0
2.8099 0.0000 0.0000
0.0000 8.6728 5.3115
0.0000 -8.6728 5.3115
Na B C
8 13 3
Direct
0.0000 0.1240 0.8760
0.0000 0.3748 0.6232
0.0000 0.6232 0.3748
0.0000 0.8760 0.1240
0.5000 0.1255 0.3775
0.5000 0.3775 0.1255
0.5000 0.6260 0.8751
0.5000 0.8751 0.6260
0.0000 0.0916 0.5912
0.0000 0.1851 0.1851
0.0000 0.4253 0.9251
0.0000 0.5912 0.0916
0.0000 0.6683 0.6683
0.0000 0.8289 0.8289
0.0000 0.9251 0.4253
0.5000 0.0844 0.0844
0.5000 0.3181 0.8176
0.5000 0.4062 0.4062
0.5000 0.5685 0.5685
0.5000 0.8176 0.3181
0.5000 0.9255 0.9255
0.0000 0.3318 0.3318
0.5000 0.1702 0.6690
0.5000 0.6690 0.1702
```

No. 2
Diffraction record for Y5Er2Ru5. The X-ray powder pattern is computed, not measured: it uses a PBE-relaxed structure and λ = 1.5418 Å (Cu Kα).
No peak broadening, texture or thermal motion is included.

Largest 6 diffraction maxima, in order of falling intensity, 2θ = 15–90°:
2θ/deg, Rel. int.
37.04, 100
36.71, 51
38.67, 21
66.54, 17
53.14, 17
66.76, 17

```
Y5Er2Ru5
1.0
2.4271 1.4013 13.0516
-2.4271 1.4013 13.0516
0.0000 -2.8025 13.0516
Y Er Ru
5 2 5
Direct
0.0000 0.0000 0.0000
0.1905 0.1905 0.1905
0.2839 0.2839 0.2839
0.7161 0.7161 0.7161
0.8095 0.8095 0.8095
0.4281 0.4281 0.4281
0.5719 0.5719 0.5719
0.1133 0.1133 0.1133
0.3552 0.3552 0.3552
0.5000 0.5000 0.5000
0.6448 0.6448 0.6448
0.8867 0.8867 0.8867
```

No. 3
Diffraction record for BaPuTl. The X-ray powder pattern is computed, not measured: it uses a PBE-relaxed structure and λ = 1.5418 Å (Cu Kα).
No peak broadening, texture or thermal motion is included.

Largest 6 diffraction maxima, in order of falling intensity, 2θ = 15–90°:
2θ/deg, Rel. int.
38.01, 100
28.02, 95
30.69, 67
40.54, 48
43.89, 46
36.42, 45

```
BaPuTl
1.0
3.5403 0.0000 0.0000
0.0000 3.5403 0.0000
0.0000 0.0000 14.5650
Ba Pu Tl
2 2 2
Direct
0.2500 0.2500 0.1336
0.7500 0.7500 0.8664
0.2500 0.7500 0.5000
0.7500 0.2500 0.5000
0.2500 0.2500 0.6935
0.7500 0.7500 0.3065
```

No. 4
Diffraction record for Nb4As3. The X-ray powder pattern is computed, not measured: it uses a PBE-relaxed structure and λ = 1.5418 Å (Cu Kα).
No peak broadening, texture or thermal motion is included.

Largest 6 diffraction maxima, in order of falling intensity, 2θ = 15–90°:
2θ/deg, Rel. int.
36.58, 100
40.00, 76
35.27, 65
46.11, 41
51.68, 39
37.66, 32

```
Nb4As3
1.0
1.7688 -7.4051 0.0000
1.7688 7.4051 0.0000
0.0000 0.0000 18.9074
Nb As
16 12
Direct
0.0000 0.0000 0.0000
0.0000 0.0000 0.5000
0.0545 0.9455 0.7500
0.2630 0.7370 0.6614
0.2630 0.7370 0.8386
0.3296 0.6704 0.0273
0.3296 0.6704 0.4727
0.4677 0.5323 0.6194
0.4677 0.5323 0.8806
0.5323 0.4677 0.1194
0.5323 0.4677 0.3806
0.6704 0.3296 0.5273
0.6704 0.3296 0.9727
0.7370 0.2630 0.1614
0.7370 0.2630 0.3386
0.9455 0.0545 0.2500
0.0994 0.9006 0.6175
0.0994 0.9006 0.8825
0.1565 0.8435 0.0783
0.1565 0.8435 0.4217
0.3071 0.6929 0.2500
0.4139 0.5861 0.7500
0.5861 0.4139 0.2500
0.6929 0.3071 0.7500
0.8435 0.1565 0.5783
0.8435 0.1565 0.9217
0.9006 0.0994 0.1175
0.9006 0.0994 0.3825
```

No. 5
Diffraction record for Cr4IrRh4. The X-ray powder pattern is computed, not measured: it uses a PBE-relaxed structure and λ = 1.5418 Å (Cu Kα).
No peak broadening, texture or thermal motion is included.

Largest 6 diffraction maxima, in order of falling intensity, 2θ = 15–90°:
2θ/deg, Rel. int.
41.73, 100
48.79, 31
15.83, 24
86.33, 23
70.96, 20
34.70, 18

```
Cr4IrRh4
1.0
-3.9597 3.9597 1.8906
3.9597 -3.9597 1.8906
3.9597 3.9597 -1.8906
Cr Ir Rh
4 1 4
Direct
0.0000 0.3399 0.3399
0.0000 0.6601 0.6601
0.3399 0.0000 0.3399
0.6601 0.0000 0.6601
0.0000 0.0000 0.0000
0.3309 0.3309 0.6617
0.3309 0.6691 0.0000
0.6691 0.3309 0.0000
0.6691 0.6691 0.3383
```

No. 6
Diffraction record for NaCuAuSe2. The X-ray powder pattern is computed, not measured: it uses a PBE-relaxed structure and λ = 1.5418 Å (Cu Kα).
No peak broadening, texture or thermal motion is included.

Largest 6 diffraction maxima, in order of falling intensity, 2θ = 15–90°:
2θ/deg, Rel. int.
36.72, 100
39.36, 73
33.66, 63
27.52, 60
32.21, 57
36.35, 57

```
NaCuAuSe2
1.0
6.2387 0.0000 0.0000
0.0000 5.4041 0.0000
-1.3409 0.0000 6.7705
Na Cu Au Se
2 2 2 4
Direct
0.0000 0.1511 0.2500
0.0000 0.8489 0.7500
0.5000 0.4308 0.2500
0.5000 0.5692 0.7500
0.5000 0.0000 0.0000
0.5000 0.0000 0.5000
0.2436 0.3475 0.9407
0.2436 0.6525 0.4407
0.7564 0.3475 0.5593
0.7564 0.6525 0.0593
```

No. 7
Diffraction record for Sr2In3Ag4. The X-ray powder pattern is computed, not measured: it uses a PBE-relaxed structure and λ = 1.5418 Å (Cu Kα).
No peak broadening, texture or thermal motion is included.

Largest 6 diffraction maxima, in order of falling intensity, 2θ = 15–90°:
2θ/deg, Rel. int.
35.86, 100
31.19, 58
37.90, 57
31.98, 40
62.78, 35
42.12, 32

```
Sr2In3Ag4
1.0
3.1681 -8.7455 0.0000
3.1681 8.7455 0.0000
0.0000 0.0000 8.1788
Sr In Ag
4 6 8
Direct
0.1019 0.8981 0.9017
0.3981 0.6019 0.4017
0.6019 0.3981 0.5983
0.8981 0.1019 0.0983
0.0000 0.0000 0.5000
0.0132 0.4868 0.7500
0.4868 0.0132 0.2500
0.5000 0.5000 0.0000
0.5132 0.9868 0.7500
0.9868 0.5132 0.2500
0.1679 0.8321 0.5126
0.1795 0.3205 0.7500
0.3205 0.1795 0.2500
0.3321 0.6679 0.0126
0.6679 0.3321 0.9874
0.6795 0.8205 0.7500
0.8205 0.6795 0.2500
0.8321 0.1679 0.4874
```